[1]
This entry pairs a crystal structure of BeHg2Pb4 with its computed powder X-ray diffraction pattern. Radiation: Cu Kα. Structure: a DFT-relaxed cell (PBE, Alexandria).

Most intense lines, 10 to 80 degrees two-theta, by angle:
- 27.4 deg, d 3.259, rel. 77
- 31.9 deg, d 2.805, rel. 34
- 33.1 deg, d 2.707, rel. 100
- 35.9 deg, d 2.500, rel. 60
- 48.8 deg, d 1.866, rel. 43
- 62.8 deg, d 1.480, rel. 33

Crystal structure
```
BeHg2Pb4
1.0
-2.4996 2.4996 8.4157
2.4996 -2.4996 8.4157
2.4996 2.4996 -8.4157
Be Hg Pb
1 2 4
Cartesian
0.0000 0.0000 0.0000 Be
0.0000 0.0000 5.9262 Hg
0.0000 0.0000 10.9052 Hg
2.4996 0.0000 0.0000 Pb
0.0000 0.0000 2.6910 Pb
0.0000 2.4996 0.0000 Pb
0.0000 0.0000 14.1404 Pb
```

---

[2]
This entry pairs a crystal structure of Be2HgPt2 with its computed powder X-ray diffraction pattern. Radiation: Cu Kα. Structure: a DFT-relaxed cell (PBE, Alexandria).

Most intense lines, 10 to 80 degrees two-theta, by angle:
- 28.0 deg, d 3.185, rel. 100
- 32.2 deg, d 2.777, rel. 72
- 35.7 deg, d 2.518, rel. 17
- 40.0 deg, d 2.252, rel. 88
- 43.2 deg, d 2.093, rel. 72
- 52.3 deg, d 1.749, rel. 77

Crystal structure
```
Be2HgPt2
1.0
7.1211 0.0000 0.0000
0.0000 7.1211 0.0000
0.0000 0.0000 2.7769
Be Hg Pt
4 2 4
Cartesian
1.0332 2.5273 0.0000 Be
2.5273 6.0879 0.0000 Be
4.5938 1.0332 0.0000 Be
6.0879 4.5938 0.0000 Be
0.0000 0.0000 1.3884 Hg
3.5605 3.5605 1.3884 Hg
1.0219 4.5825 1.3884 Pt
2.5386 1.0219 1.3884 Pt
4.5825 6.0992 1.3884 Pt
6.0992 2.5386 1.3884 Pt
```

---

[3]
This entry pairs a crystal structure of BeHgPt3 with its computed powder X-ray diffraction pattern. Radiation: Cu Kα. Structure: a DFT-relaxed cell (PBE, Alexandria).

Most intense lines, 10 to 80 degrees two-theta, by angle:
- 32.8 deg, d 2.732, rel. 55
- 34.9 deg, d 2.567, rel. 62
- 37.7 deg, d 2.385, rel. 67
- 39.9 deg, d 2.261, rel. 100
- 42.6 deg, d 2.123, rel. 76
- 45.6 deg, d 1.989, rel. 78

Crystal structure
```
BeHgPt3
1.0
2.8515 0.0000 0.0000
0.0056 5.6122 0.0000
0.0133 1.4105 9.5420
Be Hg Pt
2 2 6
Cartesian
0.0000 0.0000 0.0000 Be
2.8535 2.8001 0.0029 Be
1.4347 2.8035 3.9133 Hg
2.8508 5.6048 3.5707 Hg
0.0100 1.3920 6.0425 Pt
0.0128 4.2141 6.0457 Pt
1.4266 1.4086 1.4004 Pt
1.4367 2.8087 8.1169 Pt
1.4292 4.1985 1.3828 Pt
1.4397 5.6174 8.0989 Pt
```

---

[4]
This entry pairs a crystal structure of BeReHgSe2 with its computed powder X-ray diffraction pattern. Radiation: Cu Kα. Structure: a DFT-relaxed cell (PBE, Alexandria).

Most intense lines, 10 to 80 degrees two-theta, by angle:
- 23.4 deg, d 3.802, rel. 24
- 26.4 deg, d 3.381, rel. 100
- 33.3 deg, d 2.688, rel. 59
- 43.0 deg, d 2.104, rel. 56
- 47.8 deg, d 1.901, rel. 21
- 54.3 deg, d 1.691, rel. 29

Crystal structure
```
BeReHgSe2
1.0
5.3769 0.0000 0.0000
0.0000 5.3769 0.0000
0.0000 0.0000 4.3489
Be Re Hg Se
1 1 1 2
Cartesian
0.0000 0.0000 0.0000 Be
2.6884 2.6884 0.0000 Re
0.0000 0.0000 2.1744 Hg
0.0000 2.6884 2.1744 Se
2.6884 0.0000 2.1744 Se
```

---

[5]
This entry pairs a crystal structure of BeHgRh2 with its computed powder X-ray diffraction pattern. Radiation: Cu Kα. Structure: a DFT-relaxed cell (PBE, Alexandria).

Most intense lines, 10 to 80 degrees two-theta, by angle:
- 11.7 deg, d 7.538, rel. 45
- 35.0 deg, d 2.562, rel. 40
- 35.7 deg, d 2.513, rel. 37
- 38.4 deg, d 2.346, rel. 100
- 40.3 deg, d 2.240, rel. 55
- 47.7 deg, d 1.905, rel. 38

Crystal structure
```
BeHgRh2
1.0
1.4890 0.8597 7.5379
-1.4890 0.8597 7.5379
0.0000 -1.7193 7.5379
Be Hg Rh
1 1 2
Cartesian
0.0000 0.0000 0.0000 Be
0.0000 0.0000 11.3068 Hg
0.0000 0.0000 6.0766 Rh
0.0000 0.0000 16.5370 Rh
```

---

[6]
This entry pairs a crystal structure of BeHgS2 with its computed powder X-ray diffraction pattern. Radiation: Cu Kα. Structure: a DFT-relaxed cell (PBE, Alexandria).

Most intense lines, 10 to 80 degrees two-theta, by angle:
- 17.7 deg, d 5.002, rel. 100
- 18.5 deg, d 4.806, rel. 80
- 28.5 deg, d 3.131, rel. 34
- 29.0 deg, d 3.079, rel. 78
- 33.8 deg, d 2.654, rel. 46
- 50.8 deg, d 1.797, rel. 28

Crystal structure
```
BeHgS2
1.0
5.0022 -3.1306 0.0000
5.0022 3.1306 0.0000
-4.9765 0.0000 5.6686
Be Hg S
2 2 4
Cartesian
1.4448 0.0000 0.0098 Be
3.5831 0.0000 5.6588 Be
-0.0874 0.0307 3.9517 Hg
5.1153 0.0307 1.7169 Hg
-0.0072 0.5741 1.4871 S
3.2426 1.0296 0.0381 S
1.7853 1.0296 5.6305 S
5.0352 0.5741 4.1816 S
```